Diffraction record for ZnTcMo2. The X-ray powder pattern is computed, not measured: it uses the PBE geometry in OQMD and CuKα.

Largest 6 diffraction maxima, in order of rising 2θ, 15 to 90 degrees two-theta:
h k l  2θ/deg  I (rel.)
1 1 1  24.78  14
2 0 0  28.69  9
2 2 0  41.03  1000
4 0 0  59.42  161
4 2 2  74.74  324
4 4 0  88.99  107

Cell and atoms:
a b c (Å): 6.2224 6.2224 6.2224
angles (deg): 90.00 90.00 90.00
Space group F-43m (No. 216)
Inequivalent atoms, fractional coordinates:
Zn 0.0000 0.0000 0.0000 (multiplicity 4)
Tc 0.2500 0.2500 0.7500 (multiplicity 4)
Mo 0.0000 0.0000 0.5000 (multiplicity 4)
Mo 0.2500 0.2500 0.2500 (multiplicity 4)

=====

Diffraction record for Te4Mo5. The X-ray powder pattern is computed, not measured: it uses the PBE geometry in OQMD and CuKα.

Largest 6 diffraction maxima, in order of rising 2θ, 15 to 90 degrees two-theta:
h k l  2θ/deg  I (rel.)
1 2 1  29.92  876
3 0 1  35.06  782
3 2 1  39.62  404
2 4 0  40.64  669
4 1 1  43.78  1000
2 4 2  62.17  371

Cell and atoms:
a b c (Å): 9.9291 9.9291 4.0355
angles (deg): 90.00 90.00 90.00
Space group I4/m (No. 87)
Inequivalent atoms, fractional coordinates:
Te 0.0723 0.7187 0.0000 (multiplicity 8)
Mo 0.0000 0.0000 0.0000 (multiplicity 2)
Mo 0.0913 0.1656 0.5000 (multiplicity 8)

=====

Diffraction record for Te2Mo. The X-ray powder pattern is computed, not measured: it uses the PBE geometry in OQMD and CuKα.

Largest 6 diffraction maxima, in order of rising 2θ, 15 to 90 degrees two-theta:
h k l  2θ/deg  I (rel.)
1 0 2  29.67  1000
1 0 6  34.41  601
1 0 7  36.17  773
1 0 9  40.23  486
1 1 0  51.46  711
1 1 16  74.19  449

Cell and atoms:
a b c (Å): 3.5514 3.5514 29.4596
angles (deg): 90.00 90.00 120.00
Space group P6_3mc (No. 186)
Inequivalent atoms, fractional coordinates:
Te 0.0000 0.0000 0.0000 (multiplicity 2)
Te 0.0000 0.0000 0.1229 (multiplicity 2)
Te 0.3333 0.6667 0.2540 (multiplicity 2)
Te 0.3333 0.6667 0.3769 (multiplicity 2)
Mo 0.3333 0.6667 0.5615 (multiplicity 2)
Mo 0.3333 0.6667 0.8154 (multiplicity 2)

=====

Diffraction record for TlTe5Mo3. The X-ray powder pattern is computed, not measured: it uses the PBE geometry in OQMD and CuKα.

Largest 6 diffraction maxima, in order of rising 2θ, 15 to 90 degrees two-theta:
h k l  2θ/deg  I (rel.)
1 0 2  27.71  863
1 1 0  29.89  838
2 0 2  41.21  1000
2 1 2  51.74  311
1 1 4  54.16  296
2 2 0  62.10  245

Cell and atoms:
a b c (Å): 5.9784 5.9784 8.2209
angles (deg): 90.00 90.00 120.00
Space group P6/mmm (No. 191)
Inequivalent atoms, fractional coordinates:
Tl 0.0000 0.0000 0.0000 (multiplicity 1)
Te 0.0000 0.0000 0.5000 (multiplicity 1)
Te 0.3333 0.6667 0.2373 (multiplicity 4)
Mo 0.0000 0.5000 0.5000 (multiplicity 3)

=====

Diffraction record for Te4MoW. The X-ray powder pattern is computed, not measured: it uses the PBE geometry in OQMD and CuKα.

Largest 6 diffraction maxima, in order of rising 2θ, 15 to 90 degrees two-theta:
h k l  2θ/deg  I (rel.)
0 0 2  29.04  261
1 1 1  29.60  573
1 3 1  34.19  1000
0 4 2  37.85  636
1 5 1  42.05  699
1 1 3  51.83  454

Cell and atoms:
a b c (Å): 3.5607 14.9932 6.1489
angles (deg): 90.00 90.00 90.00
Space group Cmm2 (No. 35)
Inequivalent atoms, fractional coordinates:
Te 0.0000 0.1210 0.0000 (multiplicity 4)
Te 0.0000 0.3788 0.4991 (multiplicity 4)
Mo 0.0000 0.0000 0.3339 (multiplicity 2)
W 0.0000 0.5000 0.8322 (multiplicity 2)

=====

Diffraction record for Tl2Mo. The X-ray powder pattern is computed, not measured: it uses the PBE geometry in OQMD and CuKα.

Largest 6 diffraction maxima, in order of rising 2θ, 15 to 90 degrees two-theta:
h k l  2θ/deg  I (rel.)
0 1 5  33.69  261
1 0 7  35.21  1000
0 0 18  37.07  362
0 1 11  39.45  602
1 1 0  57.12  353
1 1 18  70.07  341

Cell and atoms:
a b c (Å): 3.2252 3.2252 43.6546
angles (deg): 90.00 90.00 120.00
Space group R-3m (No. 166, hexagonal axes)
Inequivalent atoms, fractional coordinates:
Tl 0.0000 0.0000 0.1352 (multiplicity 6)
Tl 0.0000 0.0000 0.3025 (multiplicity 6)
Mo 0.0000 0.0000 0.4160 (multiplicity 6)